Record 1
Ce2NiSn3: simulated XRD peak list (Cu Ka), based on a GGA-PBE-relaxed structure.
Kinematic intensities with the Lorentz-polarization factor, no thermal factor.

Peak list (12 most intense, 2θ = 10–90°, most intense first)
- 32.53 deg, I = 100
- 30.95 deg, I = 80
- 38.82 deg, I = 51
- 36.96 deg, I = 48
- 32.70 deg, I = 32
- 37.95 deg, I = 31
- 33.50 deg, I = 28
- 55.42 deg, I = 21
- 60.87 deg, I = 21
- 32.07 deg, I = 19
- 52.20 deg, I = 16
- 31.73 deg, I = 15

Structural model:
a = 6.0975 Å, b = 6.0975 Å, c = 7.4237 Å
α = 126.97°, β = 126.97°, γ = 44.72°
Sites, in units of the cell vectors:
Ce 0.0000 0.0000 0.0000
Ce 0.1217 0.1217 0.5902
Ni 0.7501 0.7501 0.0558
Sn 0.3730 0.3730 0.1711
Sn 0.4615 0.4615 0.6760
Sn 0.7340 0.7340 0.3982



Record 2
MgCoWS4: simulated XRD peak list (Cu Ka), based on a GGA-PBE-relaxed structure.
Kinematic intensities with the Lorentz-polarization factor, no thermal factor.

Peak list (12 most intense, 2θ = 10–90°, most intense first)
- 14.94 deg, I = 100
- 36.26 deg, I = 36
- 30.36 deg, I = 35
- 51.19 deg, I = 32
- 34.88 deg, I = 24
- 28.79 deg, I = 23
- 15.65 deg, I = 22
- 45.86 deg, I = 17
- 29.22 deg, I = 16
- 17.24 deg, I = 16
- 48.23 deg, I = 15
- 46.99 deg, I = 13

Structural model:
a = 7.1506 Å, b = 7.1506 Å, c = 7.1506 Å
α = 123.36°, β = 119.05°, γ = 87.97°
Sites, in units of the cell vectors:
Mg 0.0000 0.0000 0.0000
Mg 0.7556 0.2556 0.5000
Co 0.3754 0.6096 0.7658
Co 0.8437 0.6096 0.2342
W 0.3680 0.0707 0.7027
W 0.3680 0.6652 0.2973
S 0.0705 0.8324 0.2380
S 0.1285 0.4199 0.2915
S 0.1285 0.8370 0.7085
S 0.1647 0.3810 0.7838
S 0.5944 0.8324 0.7620
S 0.5972 0.3810 0.2162
S 0.5977 0.3728 0.7751
S 0.5977 0.8226 0.2249



Record 3
Pr3Nd3Y4: simulated XRD peak list (Cu Ka), based on a GGA-PBE-relaxed structure.
Kinematic intensities with the Lorentz-polarization factor, no thermal factor.

Peak list (12 most intense, 2θ = 10–90°, most intense first)
- 31.78 deg, I = 100
- 28.89 deg, I = 76
- 30.40 deg, I = 52
- 37.97 deg, I = 24
- 25.78 deg, I = 23
- 53.93 deg, I = 23
- 56.52 deg, I = 21
- 58.36 deg, I = 21
- 46.51 deg, I = 19
- 45.52 deg, I = 18
- 49.54 deg, I = 12
- 41.33 deg, I = 12

Structural model:
a = 3.6804 Å, b = 9.7738 Å, c = 9.7738 Å
α = 89.99°, β = 90.00°, γ = 90.00°
Sites, in units of the cell vectors:
Pr 0.0000 0.0000 0.0000
Pr 0.0000 0.4997 0.8504
Pr 0.0000 0.8504 0.4997
Nd 0.0000 0.3503 0.3503
Nd 0.5000 0.1756 0.6744
Nd 0.5000 0.6744 0.1756
Y 0.5000 0.0533 0.2979
Y 0.5000 0.2979 0.0533
Y 0.5000 0.5522 0.5522
Y 0.5000 0.7976 0.7976



Record 4
AlHgClF6: simulated XRD peak list (Cu Ka), based on a GGA-PBE-relaxed structure.
Kinematic intensities with the Lorentz-polarization factor, no thermal factor.

Peak list (12 most intense, 2θ = 10–90°, most intense first)
- 20.31 deg, I = 100
- 18.46 deg, I = 51
- 19.35 deg, I = 50
- 31.13 deg, I = 42
- 27.66 deg, I = 42
- 17.62 deg, I = 38
- 18.72 deg, I = 31
- 33.08 deg, I = 27
- 33.47 deg, I = 26
- 27.93 deg, I = 24
- 26.04 deg, I = 22
- 34.26 deg, I = 19

Structural model:
a = 5.2387 Å, b = 5.6824 Å, c = 5.9266 Å
α = 112.28°, β = 103.72°, γ = 107.39°
Sites, in units of the cell vectors:
Al 0.0000 0.0000 0.0000
Hg 0.7773 0.5665 0.3816
Cl 0.4509 0.3223 0.6388
F 0.1304 0.7705 0.8135
F 0.2018 0.9848 0.3118
F 0.2886 0.3236 0.0979
F 0.7033 0.6531 0.9674
F 0.7643 0.9446 0.6899
F 0.8226 0.1715 0.1837